For MnVNiHO, a DFT-relaxed cell (GGA+U, Alexandria) gives the theoretical X-ray diffraction stick pattern in this record (Cu Kα (λ = 1.5418 Å)).
Neutral-atom scattering factors, no anomalous dispersion.

Peak list (12 most intense, 2θ = 15–90°, low angle first)
- 29.82 deg, rel. 22
- 36.09 deg, rel. 41
- 37.14 deg, rel. 81
- 38.39 deg, rel. 100
- 43.59 deg, rel. 46
- 48.34 deg, rel. 27
- 50.99 deg, rel. 33
- 57.83 deg, rel. 18
- 61.94 deg, rel. 14
- 69.28 deg, rel. 23
- 74.49 deg, rel. 19
- 76.56 deg, rel. 15

Cell and atoms:
Unit cell a=2.9961 b=4.9276 c=4.9276 alpha=49.84 beta=90.00 gamma=90.00
Fractional coordinates of all 5 atoms:
Mn: 0.0000 0.0000 0.0000
V: 0.5000 0.3049 0.3049
Ni: 0.5000 0.6096 0.6096
H: 0.0000 0.4974 0.4974
O: 0.5000 0.8286 0.8286